Record 1
Structure and theoretical PXRD pattern of BaFe2N2 (a DFT-relaxed cell (PBE, Alexandria); copper Kα).
No peak broadening, texture or thermal motion is included.

Top 10 peaks for 10 to 90 degrees two-theta, in order of rising 2θ:
| 2θ (°) | I (rel.) |
| --- | --- |
| 20.63 | 137 |
| 28.05 | 1000 |
| 29.34 | 133 |
| 34.27 | 143 |
| 35.08 | 367 |
| 38.13 | 224 |
| 47.21 | 274 |
| 62.23 | 230 |
| 64.30 | 161 |
| 68.31 | 107 |

Crystal structure
abc: 6.089 6.089 9.440
angles: 90.00 90.00 90.00
Space group I4/mcm (No. 140)
Symmetry-distinct sites (fractional):
Ba 0.000 0.000 0.250 [4 per cell]
Fe 0.134 0.366 0.000 [8 per cell]
N 0.159 0.341 0.500 [8 per cell]

***

Record 2
Structure and theoretical PXRD pattern of BaFeN2 (a DFT-relaxed cell (PBE, Alexandria); copper Kα).
No peak broadening, texture or thermal motion is included.

Top 10 peaks for 10 to 90 degrees two-theta, in order of rising 2θ:
| 2θ (°) | I (rel.) |
| --- | --- |
| 23.02 | 596 |
| 27.36 | 493 |
| 31.04 | 1000 |
| 31.33 | 854 |
| 36.04 | 441 |
| 42.07 | 205 |
| 43.20 | 187 |
| 48.29 | 314 |
| 55.58 | 199 |
| 57.79 | 198 |

Crystal structure
abc: 6.076 10.011 4.571
angles: 90.00 109.99 90.00
Space group C2/c (No. 15)
Symmetry-distinct sites (fractional):
Ba 0.000 0.155 0.250 [4 per cell]
Fe 0.000 0.496 0.750 [4 per cell]
N 0.183 0.404 0.093 [8 per cell]

***

Record 3
Structure and theoretical PXRD pattern of Ba2Fe2N3 (a DFT-relaxed cell (PBE, Alexandria); copper Kα).
No peak broadening, texture or thermal motion is included.

Top 10 peaks for 10 to 90 degrees two-theta, in order of rising 2θ:
| 2θ (°) | I (rel.) |
| --- | --- |
| 23.86 | 336 |
| 24.82 | 389 |
| 29.11 | 960 |
| 30.21 | 792 |
| 32.16 | 491 |
| 32.71 | 1000 |
| 33.61 | 619 |
| 41.28 | 342 |
| 43.60 | 255 |
| 45.92 | 170 |

Crystal structure
abc: 5.928 6.176 8.956
angles: 90.00 127.90 90.00
Space group P2_1/c (No. 14)
Symmetry-distinct sites (fractional):
Ba 0.165 0.151 0.398 [4 per cell]
Fe 0.352 0.586 0.652 [4 per cell]
N 0.000 0.000 0.000 [2 per cell]
N 0.431 0.641 0.224 [4 per cell]

***

What is the formula in the first record?
BaFe2N2